[1]
Starting from a crystal structure in Alexandria, relaxed with PBE, the X-ray powder pattern of LuZnPdRu was simulated for Cu Kα (weighted mean of Kα1 and Kα2).
Kinematic intensities with the Lorentz-polarization factor, no thermal factor.

Structural model:
```
data_LuZnPdRu
_chemical_formula_sum 'Lu4 Zn4 Pd4 Ru4'
_cell_length_a 6.420
_cell_length_b 6.420
_cell_length_c 6.420
_cell_angle_alpha 90.00
_cell_angle_beta 90.00
_cell_angle_gamma 90.00
_space_group_name_H-M_alt 'F -4 3 m'
_space_group_IT_number 216
_space_group_name_Hall 'F -4 2 3'
loop_
_atom_site_label
_atom_site_type_symbol
_atom_site_fract_x
_atom_site_fract_y
_atom_site_fract_z
_atom_site_occupancy
Lu1 Lu 0.000 0.000 0.000 1
Zn1 Zn 0.000 0.000 0.500 1
Pd1 Pd 0.250 0.250 0.750 1
Ru1 Ru 0.250 0.250 0.250 1
```

The 6 most intense peaks (2θ = 5–70°), by angle:
| 2theta | I (rel.) | hkl |
| --- | --- | --- |
| 24.01 | 12 | 1 1 1 |
| 27.79 | 1 | 2 0 0 |
| 39.71 | 100 | 2 2 0 |
| 46.94 | 6 | 3 1 1 |
| 57.41 | 17 | 4 0 0 |
| 63.12 | 3 | 3 3 1 |

[2]
Starting from a crystal structure in Alexandria, relaxed with PBE, the X-ray powder pattern of Ag3H4Pt2 was simulated for Cu Kα (weighted mean of Kα1 and Kα2).
Kinematic intensities with the Lorentz-polarization factor, no thermal factor.

Structural model:
```
data_Ag3H4Pt2
_chemical_formula_sum 'Ag6 H8 Pt4'
_cell_length_a 9.828
_cell_length_b 2.819
_cell_length_c 7.757
_cell_angle_alpha 90.00
_cell_angle_beta 108.88
_cell_angle_gamma 90.00
_space_group_name_H-M_alt 'C 1 2/m 1'
_space_group_IT_number 12
_space_group_name_Hall '-C 2y'
loop_
_atom_site_label
_atom_site_type_symbol
_atom_site_fract_x
_atom_site_fract_y
_atom_site_fract_z
_atom_site_occupancy
Ag1 Ag 0.000 0.000 0.000 1
Ag2 Ag 0.119 0.500 0.391 1
H1 H 0.076 0.000 0.696 1
H2 H 0.193 0.500 0.122 1
Pt1 Pt 0.191 0.500 0.787 1
```

The 12 most intense peaks (2θ = 5–70°), by angle:
| 2theta | I (rel.) | hkl |
| --- | --- | --- |
| 19.07 | 26 | 2 0 0 |
| 24.25 | 18 | 0 0 2 |
| 33.21 | 18 | 1 1 0 |
| 34.32 | 91 | 1 1 -1 |
| 35.50 | 100 | 2 0 -3 |
| 35.74 | 97 | 2 0 2 |
| 36.57 | 87 | 4 0 -1 |
| 39.56 | 78 | 1 1 -2 |
| 43.39 | 85 | 3 1 0 |
| 47.84 | 36 | 3 1 1 |
| 52.82 | 37 | 1 1 3 |
| 61.49 | 32 | 5 1 -3 |

[3]
Starting from a crystal structure in Alexandria, relaxed with PBE, the X-ray powder pattern of LiIn3Ag7 was simulated for Cu Kα (weighted mean of Kα1 and Kα2).
Kinematic intensities with the Lorentz-polarization factor, no thermal factor.

Structural model:
```
data_LiIn3Ag7
_chemical_formula_sum 'Li4 In12 Ag28'
_cell_length_a 3.029
_cell_length_b 31.910
_cell_length_c 11.327
_cell_angle_alpha 90.00
_cell_angle_beta 90.00
_cell_angle_gamma 90.00
_space_group_name_H-M_alt 'C m c m'
_space_group_IT_number 63
_space_group_name_Hall '-C 2c 2'
loop_
_atom_site_label
_atom_site_type_symbol
_atom_site_fract_x
_atom_site_fract_y
_atom_site_fract_z
_atom_site_occupancy
Li1 Li 0.000 0.076 0.250 1
In1 In 0.000 0.068 0.535 1
In2 In 0.000 0.182 0.250 1
Ag1 Ag 0.000 0.277 0.568 1
Ag2 Ag 0.000 0.371 0.590 1
Ag3 Ag 0.000 0.430 0.250 1
Ag4 Ag 0.000 0.488 0.625 1
```

The 12 most intense peaks (2θ = 5–70°), by angle:
| 2theta | I (rel.) | hkl |
| --- | --- | --- |
| 5.54 | 85 | 0 2 0 |
| 9.58 | 49 | 0 2 1 |
| 13.58 | 100 | 0 4 1 |
| 29.07 | 25 | 0 10 1 |
| 34.63 | 35 | 1 3 2 |
| 36.47 | 25 | 1 5 2 |
| 36.88 | 44 | 0 10 3 |
| 38.20 | 65 | 1 1 3 |
| 39.03 | 58 | 0 8 4 |
| 39.11 | 41 | 1 9 0 |
| 41.43 | 26 | 0 4 5 |
| 43.89 | 29 | 1 1 4 |

[4]
Starting from a crystal structure in Alexandria, relaxed with PBE, the X-ray powder pattern of Pr2DyErTm2 was simulated for Cu Kα (weighted mean of Kα1 and Kα2).
Kinematic intensities with the Lorentz-polarization factor, no thermal factor.

Structural model:
```
data_Pr2DyErTm2
_chemical_formula_sum 'Pr4 Dy2 Er2 Tm4'
_cell_length_a 7.013
_cell_length_b 5.646
_cell_length_c 9.780
_cell_angle_alpha 90.00
_cell_angle_beta 90.00
_cell_angle_gamma 90.00
_space_group_name_H-M_alt 'P m m a'
_space_group_IT_number 51
_space_group_name_Hall '-P 2a 2a'
loop_
_atom_site_label
_atom_site_type_symbol
_atom_site_fract_x
_atom_site_fract_y
_atom_site_fract_z
_atom_site_occupancy
Pr1 Pr 0.000 0.000 0.000 1
Pr2 Pr 0.250 0.500 0.179 1
Dy1 Dy 0.250 0.000 0.658 1
Er1 Er 0.000 0.500 0.500 1
Tm1 Tm 0.250 0.000 0.333 1
Tm2 Tm 0.250 0.500 0.835 1
```

The 12 most intense peaks (2θ = 5–70°), by angle:
| 2theta | I (rel.) | hkl |
| --- | --- | --- |
| 9.04 | 1 | 0 0 1 |
| 25.40 | 7 | 2 0 0 |
| 31.39 | 91 | 2 1 1 |
| 31.69 | 100 | 0 2 0 |
| 41.04 | 12 | 2 2 0 |
| 45.21 | 33 | 2 2 2 |
| 52.17 | 8 | 4 0 0 |
| 56.26 | 34 | 2 3 1 |
| 56.45 | 19 | 0 3 3 |
| 62.34 | 29 | 4 2 0 |
| 62.88 | 3 | 2 3 3 |
| 66.21 | 12 | 0 4 0 |

[5]
Starting from a crystal structure in Alexandria, relaxed with PBE, the X-ray powder pattern of TbLuZrAl was simulated for Cu Kα (weighted mean of Kα1 and Kα2).
Kinematic intensities with the Lorentz-polarization factor, no thermal factor.

Structural model:
```
data_TbLuZrAl
_chemical_formula_sum 'Tb4 Lu4 Zr4 Al4'
_cell_length_a 7.267
_cell_length_b 7.267
_cell_length_c 7.267
_cell_angle_alpha 90.00
_cell_angle_beta 90.00
_cell_angle_gamma 90.00
_space_group_name_H-M_alt 'F -4 3 m'
_space_group_IT_number 216
_space_group_name_Hall 'F -4 2 3'
loop_
_atom_site_label
_atom_site_type_symbol
_atom_site_fract_x
_atom_site_fract_y
_atom_site_fract_z
_atom_site_occupancy
Tb1 Tb 0.000 0.000 0.000 1
Lu1 Lu 0.250 0.250 0.750 1
Zr1 Zr 0.000 0.000 0.500 1
Al1 Al 0.250 0.250 0.250 1
```

The 9 most intense peaks (2θ = 5–70°), by angle:
| 2theta | I (rel.) | hkl |
| --- | --- | --- |
| 21.17 | 29 | 1 1 1 |
| 24.50 | 2 | 2 0 0 |
| 34.92 | 100 | 2 2 0 |
| 41.20 | 16 | 3 1 1 |
| 50.22 | 18 | 4 0 0 |
| 55.08 | 7 | 3 3 1 |
| 56.64 | 1 | 4 2 0 |
| 62.62 | 37 | 4 2 2 |
| 66.90 | 5 | 5 1 1 |

[6]
Starting from a crystal structure in Alexandria, relaxed with PBE, the X-ray powder pattern of CaTl2PbBr6 was simulated for Cu Kα (weighted mean of Kα1 and Kα2).
Kinematic intensities with the Lorentz-polarization factor, no thermal factor.

Structural model:
```
data_CaTl2PbBr6
_chemical_formula_sum 'Ca2 Tl4 Pb2 Br12'
_cell_length_a 7.751
_cell_length_b 8.270
_cell_length_c 13.645
_cell_angle_alpha 90.00
_cell_angle_beta 124.38
_cell_angle_gamma 90.00
_space_group_name_H-M_alt 'P 1 21/c 1'
_space_group_IT_number 14
_space_group_name_Hall '-P 2ybc'
loop_
_atom_site_label
_atom_site_type_symbol
_atom_site_fract_x
_atom_site_fract_y
_atom_site_fract_z
_atom_site_occupancy
Ca1 Ca 0.000 0.000 0.000 1
Tl1 Tl 0.282 0.081 0.752 1
Pb1 Pb 0.500 0.000 0.500 1
Br1 Br 0.124 0.034 0.244 1
Br2 Br 0.240 0.701 0.059 1
Br3 Br 0.364 0.188 0.057 1
```

The 12 most intense peaks (2θ = 5–70°), by angle:
| 2theta | I (rel.) | hkl |
| --- | --- | --- |
| 17.55 | 27 | 1 1 0 |
| 22.28 | 100 | 1 1 -3 |
| 22.94 | 28 | 2 0 -2 |
| 26.63 | 45 | 2 1 -3 |
| 28.54 | 30 | 1 1 -4 |
| 31.64 | 43 | 2 2 -2 |
| 31.79 | 39 | 0 0 4 |
| 32.21 | 22 | 0 2 3 |
| 32.65 | 27 | 2 2 -1 |
| 35.47 | 42 | 1 3 0 |
| 39.85 | 34 | 3 1 -1 |
| 39.97 | 31 | 3 1 -5 |